Diffraction record for TbYS4. The X-ray powder pattern is calculated, not measured: it uses a DFT-relaxed cell (GGA-PBE, OQMD) and Cu Ka.

Cell lengths 8.8162, 4.3486, 7.2669 Å; angles 90.00, 95.52, 90.00 degrees
Space group Cm (No. 8)
Symmetry-distinct sites (fractional):
Tb1 0.0000 0.0000 0.0000
Y1 0.3532 0.0000 0.4432
S1 0.0383 0.0000 0.3777
S2 0.0691 0.5000 0.7693
S3 0.2834 0.5000 0.6725
S4 0.3146 0.0000 0.0658

Most intense lines, 2θ from 5° to 70°, low angle first:
d [Å], 2θ (°), I_rel, hkl
4.388, 20.24, 31, 2 0 0
3.896, 22.82, 27, 1 1 0
3.617, 24.62, 34, 0 0 2
3.601, 24.72, 35, 2 0 1
3.493, 25.50, 100, 1 1 -1
2.596, 34.55, 33, 1 1 2
2.427, 37.04, 41, 3 1 0
2.358, 38.16, 21, 3 1 -1
2.174, 41.53, 29, 0 2 0
2.092, 43.24, 56, 1 1 -3
1.946, 46.69, 30, 3 1 2
1.862, 48.91, 22, 2 2 1